Record 1
Theoretical PXRD pattern
Compound: CaSiBHO5
Radiation: CuKα
Structure: a structure optimized by DFT (PBE)
Intensities are scaled so that the largest is 100.

Main lines, sorted by position (10 to 80 degrees two-theta):
2θ (°)  I (rel.)  h k l
23.4  52  1 1 1
28.3  100  1 1 -2
29.5  41  1 2 0
30.9  84  1 2 -1
35.3  31  1 1 3
39.7  60  0 3 2

Crystal structure
Lattice parameters (Å, degrees): 4.902 7.703 9.717 90.00 90.22 90.00
Sites, in units of the cell vectors:
Ca 0.009 0.103 0.163
Ca 0.009 0.397 0.663
Ca 0.991 0.603 0.337
Ca 0.991 0.897 0.837
Si 0.468 0.736 0.584
Si 0.468 0.764 0.084
Si 0.532 0.236 0.916
Si 0.532 0.264 0.416
B 0.433 0.091 0.660
B 0.433 0.409 0.160
B 0.567 0.591 0.840
B 0.567 0.909 0.340
H 0.193 0.543 0.924
H 0.193 0.957 0.424
H 0.807 0.043 0.576
H 0.807 0.457 0.076
O 0.238 0.601 0.537
O 0.238 0.899 0.037
O 0.261 0.588 0.836
O 0.261 0.912 0.336
O 0.315 0.586 0.146
O 0.315 0.914 0.646
O 0.327 0.166 0.790
O 0.327 0.334 0.290
O 0.331 0.200 0.543
O 0.331 0.300 0.043
O 0.669 0.700 0.957
O 0.669 0.800 0.457
O 0.673 0.666 0.710
O 0.673 0.834 0.210
O 0.685 0.086 0.354
O 0.685 0.414 0.854
O 0.739 0.088 0.664
O 0.739 0.412 0.164
O 0.762 0.101 0.963
O 0.762 0.399 0.463

---

Record 2
Theoretical PXRD pattern
Compound: CaSiBHO5
Radiation: CuKα
Structure: a structure optimized by DFT (PBE)
Intensities are scaled so that the largest is 100.

Main lines, sorted by position (10 to 80 degrees two-theta):
2θ (°)  I (rel.)  h k l
14.6  56  0 1 1
17.5  34  1 1 -1
18.5  90  0 0 2
21.7  100  0 1 2
24.6  47  0 2 1
39.3  30  0 3 2

Crystal structure
Lattice parameters (Å, degrees): 6.773 7.831 10.710 90.00 116.46 90.00
Sites, in units of the cell vectors:
Ca 0.040 0.092 0.346
Ca 0.040 0.408 0.846
Ca 0.960 0.592 0.154
Ca 0.960 0.908 0.654
Si 0.446 0.619 0.177
Si 0.446 0.881 0.677
Si 0.554 0.119 0.323
Si 0.554 0.381 0.823
B 0.344 0.076 0.835
B 0.344 0.424 0.335
B 0.656 0.576 0.665
B 0.656 0.924 0.165
H 0.276 0.544 0.688
H 0.276 0.956 0.188
H 0.724 0.044 0.812
H 0.724 0.456 0.312
O 0.152 0.128 0.828
O 0.152 0.372 0.328
O 0.244 0.532 0.049
O 0.244 0.968 0.549
O 0.298 0.041 0.261
O 0.298 0.459 0.761
O 0.374 0.600 0.308
O 0.374 0.900 0.808
O 0.473 0.679 0.644
O 0.473 0.821 0.144
O 0.527 0.179 0.856
O 0.527 0.321 0.356
O 0.626 0.100 0.192
O 0.626 0.400 0.692
O 0.702 0.541 0.239
O 0.702 0.959 0.739
O 0.756 0.032 0.451
O 0.756 0.468 0.951
O 0.848 0.628 0.672
O 0.848 0.872 0.172

---

Record 3
Theoretical PXRD pattern
Compound: CaSiBHO5
Radiation: CuKα
Structure: a structure optimized by DFT (PBE)
Intensities are scaled so that the largest is 100.

Main lines, sorted by position (10 to 80 degrees two-theta):
2θ (°)  I (rel.)  h k l
21.5  35  0 0 2
23.7  25  0 2 1
24.0  100  0 1 2
26.0  47  1 2 0
37.5  34  2 0 -2
39.4  25  2 1 2

Crystal structure
Lattice parameters (Å, degrees): 5.852 8.444 8.256 90.00 90.68 90.00
Sites, in units of the cell vectors:
Ca 0.107 0.205 0.319
Ca 0.107 0.295 0.819
Ca 0.893 0.705 0.181
Ca 0.893 0.795 0.681
Si 0.439 0.545 0.148
Si 0.439 0.955 0.648
Si 0.561 0.045 0.352
Si 0.561 0.455 0.852
B 0.328 0.632 0.615
B 0.328 0.868 0.115
B 0.672 0.132 0.885
B 0.672 0.368 0.385
H 0.179 0.548 0.367
H 0.179 0.952 0.867
H 0.821 0.048 0.133
H 0.821 0.452 0.633
O 0.140 0.657 0.522
O 0.140 0.843 0.022
O 0.184 0.506 0.251
O 0.184 0.994 0.751
O 0.310 0.022 0.476
O 0.310 0.478 0.976
O 0.384 0.014 0.183
O 0.384 0.486 0.683
O 0.473 0.744 0.161
O 0.473 0.756 0.661
O 0.527 0.244 0.339
O 0.527 0.256 0.839
O 0.616 0.514 0.317
O 0.616 0.986 0.817
O 0.690 0.522 0.024
O 0.690 0.978 0.524
O 0.816 0.006 0.249
O 0.816 0.494 0.749
O 0.860 0.157 0.978
O 0.860 0.343 0.478